Theoretical powder diffractogram of Nd4NiSeI2 for Cu Kα (weighted mean of Kα1 and Kα2), from a cell relaxed with GGA-PBE.
Lines closer than 0.1° are merged.

Crystal structure
a b c (Å): 7.591 4.114 8.118
angles (deg): 90.00 106.67 90.00
Space group P2/m (No. 10)
Symmetry-distinct sites (fractional):
Nd 0.205 0.000 0.190
Nd 0.258 0.500 0.802
Ni 0.000 0.500 0.000
Se 0.500 0.000 0.000
I 0.000 0.000 0.500
I 0.500 0.500 0.500

Principal peaks in the range 15 to 90 degrees two-theta, by angle:
Position (°2θ)  I (rel.)  index
28.39  558  2 0 -2
28.88  1000  1 1 1
29.96  119  2 0 1
31.48  161  1 1 -2
34.60  143  0 0 3
38.44  133  2 0 2
39.95  296  1 1 -3
41.92  398  3 1 -1
44.02  186  0 2 0
53.21  202  2 2 -2

Theoretical powder diffractogram of BaPr2In2O7 for Cu Kα (weighted mean of Kα1 and Kα2), from a cell relaxed with GGA-PBE.
Lines closer than 0.1° are merged.

Crystal structure
a b c (Å): 5.986 5.986 20.848
angles (deg): 90.00 90.00 90.00
Space group P4_2/mnm (No. 136)
Symmetry-distinct sites (fractional):
Ba 0.240 0.240 0.000
Pr 0.221 0.221 0.186
In 0.241 0.241 0.397
O 0.000 0.000 0.091
O 0.000 0.000 0.364
O 0.000 0.500 0.117
O 0.180 0.820 0.211
O 0.202 0.202 0.500

Principal peaks in the range 15 to 90 degrees two-theta, by angle:
Position (°2θ)  I (rel.)  index
29.85  560  2 0 0
30.08  1000  1 1 5
42.72  300  2 2 0
43.40  100  0 0 10
53.13  385  3 1 5
53.57  171  2 0 10
62.01  77  4 0 0
62.54  110  2 2 10
70.31  100  4 2 0
86.03  83  5 1 5

Copy entry 1 word for word.
Theoretical powder diffractogram of Nd4NiSeI2 for Cu Kα (weighted mean of Kα1 and Kα2), from a cell relaxed with GGA-PBE.
Lines closer than 0.1° are merged.

Crystal structure
a b c (Å): 7.591 4.114 8.118
angles (deg): 90.00 106.67 90.00
Space group P2/m (No. 10)
Symmetry-distinct sites (fractional):
Nd 0.205 0.000 0.190
Nd 0.258 0.500 0.802
Ni 0.000 0.500 0.000
Se 0.500 0.000 0.000
I 0.000 0.000 0.500
I 0.500 0.500 0.500

Principal peaks in the range 15 to 90 degrees two-theta, by angle:
Position (°2θ)  I (rel.)  index
28.39  558  2 0 -2
28.88  1000  1 1 1
29.96  119  2 0 1
31.48  161  1 1 -2
34.60  143  0 0 3
38.44  133  2 0 2
39.95  296  1 1 -3
41.92  398  3 1 -1
44.02  186  0 2 0
53.21  202  2 2 -2